Simulated powder X-ray diffraction pattern
Compound: CsH6Br2N
Radiation: a wavelength of 1.5418 Å
Structure: a DFT-relaxed cell (GGA-PBE, Alexandria)
Peak positions follow from Bragg's law for the DFT cell and can differ from measured ones.

Structure:
Lattice parameters (Å, degrees): 10.465 10.465 10.465 26.58 26.58 26.58
Atoms (fractional coordinates):
Cs 0.000 0.000 0.000
H 0.314 0.509 0.509
H 0.427 0.427 0.764
H 0.427 0.764 0.427
H 0.509 0.314 0.509
H 0.509 0.509 0.314
H 0.764 0.427 0.427
Br 0.270 0.270 0.270
Br 0.763 0.763 0.763
N 0.525 0.525 0.525

Most intense lines, 2θ from 10° to 80°, low angle first:
d/Å  I (rel.)
4.127  15
3.649  100
2.801  40
2.405  33
2.008  18
1.542  15